Entry 1:
This entry pairs a crystal structure of CeZn2H4 with its calculated X-ray powder pattern. Radiation: Cu Kα, 1.54184 Å. Structure: a cell relaxed with GGA-PBE.
Peak positions follow from Bragg's law for the DFT cell and can differ from measured ones.

Top 10 peaks for 5° ≤ 2θ ≤ 70°, most intense first:
Position (°2θ)	I/Imax
34.5	100
37.0	63
30.5	44
52.3	27
29.0	22
55.0	20
63.5	18
55.2	10
60.4	9
60.1	9

Crystal structure
```
data_CeZn2H4
_chemical_formula_sum 'Ce4 Zn8 H16'
_cell_length_a 6.161
_cell_length_b 6.161
_cell_length_c 7.911
_cell_angle_alpha 90.00
_cell_angle_beta 90.00
_cell_angle_gamma 90.00
_space_group_name_H-M_alt 'I 41 2 2'
_space_group_IT_number 98
_space_group_name_Hall 'I 4bw 2bw'
loop_
_atom_site_label
_atom_site_type_symbol
_atom_site_fract_x
_atom_site_fract_y
_atom_site_fract_z
Ce1 Ce 0.000 0.000 0.000
Zn1 Zn 0.048 0.250 0.625
H1 H 0.105 0.646 0.003
```

---

Entry 2:
This entry pairs a crystal structure of Ce2ZrH8 with its calculated X-ray powder pattern. Radiation: Cu Kα, 1.54184 Å. Structure: a cell relaxed with GGA-PBE.
Peak positions follow from Bragg's law for the DFT cell and can differ from measured ones.

Top 10 peaks for 5° ≤ 2θ ≤ 70°, most intense first:
Position (°2θ)	I/Imax
29.2	100
30.1	92
32.6	73
50.8	45
55.6	33
57.2	30
37.8	25
45.6	16
48.0	13
60.6	12

Crystal structure
```
data_Ce2ZrH8
_chemical_formula_sum 'Ce4 Zr2 H16'
_cell_length_a 3.787
_cell_length_b 4.763
_cell_length_c 11.943
_cell_angle_alpha 90.00
_cell_angle_beta 90.00
_cell_angle_gamma 90.00
_space_group_name_H-M_alt 'I m m m'
_space_group_IT_number 71
_space_group_name_Hall '-I 2 2'
loop_
_atom_site_label
_atom_site_type_symbol
_atom_site_fract_x
_atom_site_fract_y
_atom_site_fract_z
Ce1 Ce 0.000 0.000 0.169
Zr1 Zr 0.000 0.000 0.500
H1 H 0.000 0.237 0.358
H2 H 0.000 0.270 0.000
H3 H 0.000 0.500 0.213
```